Starting from a crystal structure in Alexandria, relaxed with PBE+U, the powder diffraction line list of NaFePb2F8 was computed for Cu Kα, 1.54184 Å.
Neutral-atom scattering factors, no anomalous dispersion.

Most intense lines, 2θ = 5–70°, by angle:
2θ (°)  I/Imax
17.07  63.7
17.34  69.9
24.14  100.0
24.72  70.0
29.73  93.7
35.08  41.7

Cell and atoms:
```
NaFePb2F8
1.0
5.1141 0.0000 0.0000
-0.1218 5.1970 0.0000
-0.0028 -0.2100 7.4277
Na Fe Pb F
1 1 2 8
direct
0.0000 0.0000 0.0000 Na
0.0000 0.0000 0.5000 Fe
0.4756 0.4523 0.7441 Pb
0.5244 0.5477 0.2559 Pb
0.1543 0.8101 0.2747 F
0.2143 0.2924 0.4512 F
0.2500 0.8911 0.6690 F
0.3093 0.3053 0.0252 F
0.6907 0.6947 0.9748 F
0.7500 0.1089 0.3310 F
0.7857 0.7076 0.5488 F
0.8457 0.1899 0.7253 F
```